[1]
# Te2W3Se2S2
Computed X-ray powder pattern, Cu Kα. Input: the GGA-PBE geometry in the Materials Project.
Peak positions follow from Bragg's law for the DFT cell and can differ from measured ones.

Most intense lines, 2θ from 10° to 90°, sorted by position:
| d [Å] | I/Imax | h k l |
| --- | --- | --- |
| 7.760 | 1000 | 0 0 4 |
| 6.208 | 155 | 0 0 5 |
| 2.899 | 271 | 1 0 0 |
| 2.887 | 125 | 0 1 1 |
| 2.716 | 135 | 1 0 4 |
| 2.529 | 477 | 0 1 6 |
| 2.427 | 536 | 1 0 7 |
| 2.119 | 210 | 0 1 10 |
| 2.022 | 347 | 1 0 11 |
| 1.673 | 276 | 1 1 0 |

Crystal structure
Unit cell a=3.3477 b=3.3477 c=31.0413 alpha=90.00 beta=90.00 gamma=120.00
Space group P3m1 (No. 156)
Inequivalent atoms, fractional coordinates:
Te  0.0000  0.0000  0.0000 [1 per cell]
Te  0.0000  0.0000  0.1227 [1 per cell]
W  0.0000  0.0000  0.2928 [1 per cell]
W  0.0000  0.0000  0.8300 [1 per cell]
W  0.3333  0.6667  0.0613 [1 per cell]
Se  0.3333  0.6667  0.2389 [1 per cell]
Se  0.3333  0.6667  0.3466 [1 per cell]
S  0.3333  0.6667  0.7810 [1 per cell]
S  0.3333  0.6667  0.8791 [1 per cell]

[2]
# TeW2SeS2
Computed X-ray powder pattern, Cu Kα. Input: the GGA-PBE geometry in the Materials Project.
Peak positions follow from Bragg's law for the DFT cell and can differ from measured ones.

Most intense lines, 2θ from 10° to 90°, sorted by position:
| d [Å] | I/Imax | h k l |
| --- | --- | --- |
| 7.545 | 1000 | 0 0 5 |
| 6.287 | 180 | 0 0 6 |
| 2.861 | 383 | 1 0 0 |
| 2.677 | 136 | 1 0 5 |
| 2.529 | 127 | 0 1 7 |
| 2.448 | 696 | 1 0 8 |
| 2.365 | 150 | 1 0 9 |
| 2.038 | 369 | 0 1 13 |
| 1.962 | 130 | 1 0 14 |
| 1.653 | 251 | 1 1 0 |

Crystal structure
Unit cell a=3.3068 b=3.3068 c=37.7248 alpha=90.00 beta=90.00 gamma=120.00
Space group P3m1 (No. 156)
Inequivalent atoms, fractional coordinates:
Te  0.0000  0.0000  0.0000 [1 per cell]
Te  0.0000  0.0000  0.1019 [1 per cell]
W  0.0000  0.0000  0.2388 [1 per cell]
W  0.0000  0.0000  0.8630 [1 per cell]
W  0.6667  0.3333  0.0509 [1 per cell]
W  0.6667  0.3333  0.6752 [1 per cell]
Se  0.6667  0.3333  0.8183 [1 per cell]
Se  0.6667  0.3333  0.9077 [1 per cell]
S  0.0000  0.0000  0.6345 [1 per cell]
S  0.0000  0.0000  0.7159 [1 per cell]
S  0.6667  0.3333  0.1981 [1 per cell]
S  0.6667  0.3333  0.2795 [1 per cell]

[3]
# Te2W3Se2S2
Computed X-ray powder pattern, Cu Kα. Input: the GGA-PBE geometry in the Materials Project.
Peak positions follow from Bragg's law for the DFT cell and can differ from measured ones.

Most intense lines, 2θ from 10° to 90°, sorted by position:
| d [Å] | I/Imax | h k l |
| --- | --- | --- |
| 7.754 | 1000 | 0 0 4 |
| 6.204 | 207 | 0 0 5 |
| 2.900 | 259 | 1 0 0 |
| 2.716 | 143 | 0 1 4 |
| 2.529 | 421 | 0 1 6 |
| 2.426 | 466 | 1 0 7 |
| 2.219 | 126 | 1 0 9 |
| 2.118 | 157 | 0 1 10 |
| 2.022 | 341 | 0 1 11 |
| 1.674 | 230 | 1 1 0 |

Crystal structure
Unit cell a=3.3481 b=3.3481 c=31.0179 alpha=90.00 beta=90.00 gamma=120.00
Space group P3m1 (No. 156)
Inequivalent atoms, fractional coordinates:
Te  0.0000  0.0000  0.0000 [1 per cell]
Te  0.0000  0.0000  0.1228 [1 per cell]
W  0.0000  0.0000  0.8301 [1 per cell]
W  0.6667  0.3333  0.0614 [1 per cell]
W  0.6667  0.3333  0.5987 [1 per cell]
Se  0.0000  0.0000  0.5448 [1 per cell]
Se  0.0000  0.0000  0.6526 [1 per cell]
S  0.6667  0.3333  0.7810 [1 per cell]
S  0.6667  0.3333  0.8791 [1 per cell]

[4]
# TeW2SeS2
Computed X-ray powder pattern, Cu Kα. Input: the GGA-PBE geometry in the Materials Project.
Peak positions follow from Bragg's law for the DFT cell and can differ from measured ones.

Most intense lines, 2θ from 10° to 90°, sorted by position:
| d [Å] | I/Imax | h k l |
| --- | --- | --- |
| 7.542 | 1000 | 0 0 5 |
| 6.285 | 239 | 0 0 6 |
| 2.862 | 302 | 1 0 0 |
| 2.792 | 114 | 1 0 3 |
| 2.677 | 139 | 1 0 5 |
| 2.447 | 690 | 1 0 8 |
| 2.038 | 358 | 0 1 13 |
| 1.962 | 129 | 1 0 14 |
| 1.653 | 223 | 1 1 0 |
| 1.370 | 111 | 0 2 8 |

Crystal structure
Unit cell a=3.3064 b=3.3064 c=37.7100 alpha=90.00 beta=90.00 gamma=120.00
Space group P3m1 (No. 156)
Inequivalent atoms, fractional coordinates:
Te  0.0000  0.0000  0.0000 [1 per cell]
Te  0.0000  0.0000  0.1020 [1 per cell]
W  0.0000  0.0000  0.4873 [1 per cell]
W  0.0000  0.0000  0.8630 [1 per cell]
W  0.3333  0.6667  0.0510 [1 per cell]
W  0.3333  0.6667  0.6752 [1 per cell]
Se  0.3333  0.6667  0.8182 [1 per cell]
Se  0.3333  0.6667  0.9078 [1 per cell]
S  0.0000  0.0000  0.6345 [1 per cell]
S  0.0000  0.0000  0.7159 [1 per cell]
S  0.3333  0.6667  0.4467 [1 per cell]
S  0.3333  0.6667  0.5280 [1 per cell]

[5]
# Tl2SeS
Computed X-ray powder pattern, Cu Kα. Input: the GGA-PBE geometry in the Materials Project.
Peak positions follow from Bragg's law for the DFT cell and can differ from measured ones.

Most intense lines, 2θ from 10° to 90°, sorted by position:
| d [Å] | I/Imax | h k l |
| --- | --- | --- |
| 4.057 | 733 | 0 2 2 |
| 3.541 | 192 | 2 0 0 |
| 2.868 | 541 | 0 4 0 |
| 2.668 | 1000 | 2 2 2 |
| 2.229 | 366 | 2 0 4 |
| 2.029 | 142 | 0 4 4 |
| 1.817 | 158 | 0 2 6 |
| 1.760 | 257 | 2 4 4 |
| 1.613 | 180 | 2 6 2 |
| 1.507 | 158 | 4 4 0 |

Crystal structure
Unit cell a=7.0819 b=11.4583 c=11.4933 alpha=90.00 beta=90.00 gamma=90.00
Space group Fmmm (No. 69)
Inequivalent atoms, fractional coordinates:
Tl  0.2444  0.0000  0.0000 [8 per cell]
Tl  0.2500  0.2500  0.2500 [8 per cell]
Se  0.0000  0.0000  0.3229 [8 per cell]
S  0.0000  0.1694  0.0000 [8 per cell]

[6]
# Tl3VSe2S2
Computed X-ray powder pattern, Cu Kα. Input: the GGA-PBE geometry in the Materials Project.
Peak positions follow from Bragg's law for the DFT cell and can differ from measured ones.

Most intense lines, 2θ from 10° to 90°, sorted by position:
| d [Å] | I/Imax | h k l |
| --- | --- | --- |
| 3.902 | 1000 | 0 0 2 |
| 3.190 | 377 | 2 0 2 |
| 2.769 | 205 | 0 4 0 |
| 2.760 | 974 | 2 2 2 |
| 2.748 | 283 | 4 0 0 |
| 2.469 | 252 | 3 3 1 |
| 2.259 | 248 | 0 4 2 |
| 2.247 | 199 | 4 0 2 |
| 1.745 | 497 | 4 4 2 |
| 1.596 | 213 | 0 4 4 |

Crystal structure
Unit cell a=10.9929 b=11.0766 c=7.8080 alpha=90.00 beta=90.00 gamma=90.00
Space group Fmm2 (No. 42)
Inequivalent atoms, fractional coordinates:
Tl  0.0000  0.0000  0.0000 [4 per cell]
Tl  0.2500  0.2500  0.0101 [8 per cell]
V  0.0000  0.0000  0.5105 [4 per cell]
Se  0.0000  0.1696  0.3361 [8 per cell]
S  0.1608  0.0000  0.6673 [8 per cell]

[7]
# W3Se4S2
Computed X-ray powder pattern, Cu Kα. Input: the GGA-PBE geometry in the Materials Project.
Peak positions follow from Bragg's law for the DFT cell and can differ from measured ones.

Most intense lines, 2θ from 10° to 90°, sorted by position:
| d [Å] | I/Imax | h k l |
| --- | --- | --- |
| 7.567 | 1000 | 0 0 4 |
| 6.054 | 206 | 0 0 5 |
| 2.836 | 205 | 1 0 0 |
| 2.656 | 141 | 1 0 4 |
| 2.472 | 364 | 0 1 6 |
| 2.372 | 402 | 1 0 7 |
| 2.070 | 173 | 0 1 10 |
| 1.975 | 323 | 1 0 11 |
| 1.637 | 209 | 1 1 0 |
| 1.601 | 107 | 1 1 4 |

Crystal structure
Unit cell a=3.2752 b=3.2752 c=30.2680 alpha=90.00 beta=90.00 gamma=120.00
Space group P3m1 (No. 156)
Inequivalent atoms, fractional coordinates:
W  0.0000  0.0000  0.0000 [1 per cell]
W  0.0000  0.0000  0.4627 [1 per cell]
W  0.3333  0.6667  0.2313 [1 per cell]
Se  0.0000  0.0000  0.1752 [1 per cell]
Se  0.0000  0.0000  0.2875 [1 per cell]
Se  0.3333  0.6667  0.4065 [1 per cell]
Se  0.3333  0.6667  0.5189 [1 per cell]
S  0.3333  0.6667  0.0510 [1 per cell]
S  0.3333  0.6667  0.9490 [1 per cell]

[8]
# W3Se4S2
Computed X-ray powder pattern, Cu Kα. Input: the GGA-PBE geometry in the Materials Project.
Peak positions follow from Bragg's law for the DFT cell and can differ from measured ones.

Most intense lines, 2θ from 10° to 90°, sorted by position:
| d [Å] | I/Imax | h k l |
| --- | --- | --- |
| 7.564 | 1000 | 0 0 4 |
| 6.051 | 222 | 0 0 5 |
| 2.836 | 200 | 1 0 0 |
| 2.788 | 131 | 1 0 2 |
| 2.656 | 138 | 1 0 4 |
| 2.472 | 344 | 1 0 6 |
| 2.371 | 373 | 1 0 7 |
| 2.069 | 140 | 1 0 10 |
| 1.974 | 319 | 1 0 11 |
| 1.637 | 187 | 1 1 0 |

Crystal structure
Unit cell a=3.2750 b=3.2750 c=30.2548 alpha=90.00 beta=90.00 gamma=120.00
Space group P-6m2 (No. 187)
Inequivalent atoms, fractional coordinates:
W  0.0000  0.0000  0.0000 [1 per cell]
W  0.6667  0.3333  0.2313 [2 per cell]
Se  0.0000  0.0000  0.1751 [2 per cell]
Se  0.0000  0.0000  0.2875 [2 per cell]
S  0.6667  0.3333  0.0510 [2 per cell]